For YClO2, a DFT-relaxed cell (PBE, the Materials Project) gives the simulated PXRD pattern in this record (Cu Kα X-rays).
Kinematic intensities with the Lorentz-polarization factor, no thermal factor.

Cell and atoms:
```
YClO2
1.0
6.344 0.000 0.000
0.000 3.600 0.000
-2.172 0.000 5.985
Y Cl O
2 2 4
Cartesian
0.481 0.900 2.046
3.691 2.700 3.939
1.457 2.700 0.146
2.714 0.900 5.840
-1.053 0.900 3.750
1.469 2.700 3.356
2.702 0.900 2.629
5.224 2.700 2.236
```

Peak list (12 most intense, 10° ≤ 2θ ≤ 90°, low angle first)
| d_spacing | Rel. int. |
| --- | --- |
| 5.976 | 100 |
| 5.204 | 83 |
| 3.648 | 68 |
| 3.137 | 48 |
| 3.084 | 82 |
| 2.981 | 38 |
| 2.961 | 89 |
| 2.366 | 46 |
| 2.299 | 78 |
| 2.109 | 43 |
| 1.978 | 67 |
| 1.823 | 53 |



For Pm3I, a DFT-relaxed cell (PBE, the Materials Project) gives the simulated PXRD pattern in this record (Cu Kα X-rays).
Kinematic intensities with the Lorentz-polarization factor, no thermal factor.

Cell and atoms:
```
Pm3I
1.0
-2.447 2.447 5.418
2.447 -2.447 5.418
2.447 2.447 -5.418
Pm I
3 1
Cartesian
0.000 0.000 0.000
2.447 0.000 2.709
0.000 2.447 2.709
0.000 0.000 5.418
```

Peak list (12 most intense, 10° ≤ 2θ ≤ 90°, low angle first)
| d_spacing | Rel. int. |
| --- | --- |
| 2.916 | 100 |
| 2.709 | 20 |
| 2.447 | 31 |
| 1.816 | 25 |
| 1.730 | 11 |
| 1.601 | 17 |
| 1.488 | 26 |
| 1.458 | 12 |
| 1.185 | 6 |
| 1.175 | 12 |
| 1.128 | 5 |
| 1.115 | 5 |



For Li2TiO2F6, a DFT-relaxed cell (PBE, the Materials Project) gives the simulated PXRD pattern in this record (Cu Kα X-rays).
Kinematic intensities with the Lorentz-polarization factor, no thermal factor.

Cell and atoms:
```
Li2TiO2F6
1.0
4.415 -3.454 0.000
4.415 3.454 0.000
-0.246 0.000 4.593
Li Ti O F
2 1 2 6
Cartesian
2.208 1.727 0.000
2.208 -1.727 0.000
-0.123 0.000 2.297
3.048 0.000 0.932
5.536 0.000 3.661
3.419 2.110 3.289
1.355 0.000 3.553
5.165 2.110 1.304
3.419 -2.110 3.289
7.229 0.000 1.040
5.165 -2.110 1.304
```

Peak list (12 most intense, 10° ≤ 2θ ≤ 90°, low angle first)
| d_spacing | Rel. int. |
| --- | --- |
| 5.438 | 100 |
| 4.593 | 10 |
| 3.567 | 18 |
| 3.453 | 35 |
| 3.269 | 11 |
| 3.099 | 16 |
| 2.374 | 55 |
| 2.307 | 13 |
| 2.282 | 15 |
| 1.947 | 12 |
| 1.727 | 17 |
| 1.400 | 12 |



For Ce9GdO20, a DFT-relaxed cell (PBE, the Materials Project) gives the simulated PXRD pattern in this record (Cu Kα X-rays).
Kinematic intensities with the Lorentz-polarization factor, no thermal factor.

Cell and atoms:
```
Ce9GdO20
1.0
6.686 0.000 0.000
-2.222 7.396 0.000
-1.122 -2.354 8.236
Ce Gd O
9 1 20
Cartesian
0.000 0.000 0.000
-0.002 2.020 3.286
-1.111 5.710 3.287
-0.008 4.025 6.593
1.110 0.342 6.598
2.232 4.700 1.637
3.351 1.017 1.642
4.453 -0.668 4.948
3.344 3.022 4.950
-1.111 3.698 0.000
-1.110 -0.350 6.989
-2.231 3.379 6.989
-0.004 -0.001 4.528
-1.114 3.697 4.529
1.116 0.337 2.059
0.011 4.037 2.075
1.110 -1.682 7.825
0.016 2.024 7.818
2.223 -1.347 5.352
1.112 2.355 5.351
2.231 2.687 2.885
1.119 6.389 2.884
3.327 3.018 0.417
2.233 6.724 0.411
3.331 1.005 6.161
2.226 4.705 6.177
4.456 1.345 3.706
3.346 5.043 3.708
5.573 1.663 1.247
4.453 5.392 1.246
```

Peak list (10 most intense, 10° ≤ 2θ ≤ 90°, low angle first)
| d_spacing | Rel. int. |
| --- | --- |
| 3.153 | 100 |
| 2.731 | 29 |
| 1.931 | 55 |
| 1.647 | 45 |
| 1.577 | 8 |
| 1.365 | 8 |
| 1.253 | 18 |
| 1.221 | 10 |
| 1.221 | 2 |
| 1.115 | 17 |



For CeSnPt, a DFT-relaxed cell (PBE, the Materials Project) gives the simulated PXRD pattern in this record (Cu Kα X-rays).
Kinematic intensities with the Lorentz-polarization factor, no thermal factor.

Cell and atoms:
```
CeSnPt
1.0
7.595 0.000 0.000
-3.798 6.578 0.000
0.000 0.000 4.174
Ce Sn Pt
3 3 3
Cartesian
-2.232 3.865 0.000
1.566 2.712 0.000
4.463 0.000 0.000
-0.957 1.658 2.087
1.915 0.000 2.087
2.840 4.920 2.087
0.000 0.000 0.000
0.000 4.385 2.087
3.798 2.193 2.087
```

Peak list (12 most intense, 10° ≤ 2θ ≤ 90°, low angle first)
| d_spacing | Rel. int. |
| --- | --- |
| 3.798 | 17 |
| 2.809 | 69 |
| 2.583 | 100 |
| 2.486 | 32 |
| 2.193 | 40 |
| 2.136 | 42 |
| 2.087 | 28 |
| 1.599 | 17 |
| 1.512 | 25 |
| 1.419 | 32 |
| 1.281 | 11 |
| 1.183 | 12 |



For SrGe4O9, a DFT-relaxed cell (PBE, the Materials Project) gives the simulated PXRD pattern in this record (Cu Kα X-rays).
Kinematic intensities with the Lorentz-polarization factor, no thermal factor.

Cell and atoms:
```
SrGe4O9
1.0
11.508 0.000 0.000
-5.754 9.967 0.000
0.000 0.000 4.838
Sr Ge O
3 12 27
Cartesian
-1.882 3.260 0.000
3.765 0.000 0.000
3.872 6.706 0.000
0.000 0.000 0.000
-4.720 8.176 2.419
-2.064 6.568 2.897
1.034 1.791 2.419
0.000 6.644 0.512
1.099 4.895 2.897
3.690 3.399 1.941
0.966 8.470 2.897
6.720 1.496 1.941
5.754 3.322 4.326
9.441 0.000 2.419
6.853 5.071 1.941
-2.938 5.089 2.419
-0.193 1.547 1.147
-4.318 9.360 1.147
-3.243 7.831 3.408
1.436 0.606 3.690
-1.256 5.749 4.241
0.594 3.243 3.408
-0.065 5.084 1.582
-1.319 7.481 1.582
2.511 2.136 1.429
-0.148 8.180 4.241
1.403 6.005 4.241
2.816 4.877 2.419
1.383 7.368 1.582
4.436 2.486 3.256
5.877 0.000 2.419
5.607 1.787 0.597
4.498 4.218 0.597
2.649 8.860 3.408
5.689 4.882 3.256
7.138 2.598 3.256
8.403 1.107 1.429
7.158 3.962 0.597
4.511 9.026 1.147
6.348 6.724 1.429
5.561 8.420 3.690
10.265 0.940 3.690
```

Peak list (12 most intense, 10° ≤ 2θ ≤ 90°, low angle first)
| d_spacing | Rel. int. |
| --- | --- |
| 5.754 | 34 |
| 3.703 | 100 |
| 2.972 | 38 |
| 2.877 | 72 |
| 2.739 | 94 |
| 2.473 | 25 |
| 1.984 | 20 |
| 1.851 | 24 |
| 1.783 | 29 |
| 1.661 | 31 |
| 1.439 | 22 |
| 1.369 | 15 |



For YB3O6, a DFT-relaxed cell (PBE, the Materials Project) gives the simulated PXRD pattern in this record (Cu Kα X-rays).
Kinematic intensities with the Lorentz-polarization factor, no thermal factor.

Cell and atoms:
```
YB3O6
1.0
18.399 0.000 0.000
0.000 4.445 0.000
0.000 0.000 4.270
Y B O
4 12 24
Cartesian
3.042 0.794 0.000
6.157 0.794 2.135
12.242 3.651 0.000
15.357 3.651 2.135
0.023 3.667 0.410
1.356 2.980 2.426
3.911 2.868 2.242
5.288 2.868 0.107
7.844 2.980 0.291
9.176 3.667 2.545
9.223 0.777 0.410
10.555 1.464 2.426
13.111 1.577 2.242
14.488 1.577 0.107
17.043 1.464 0.291
18.376 0.777 2.545
0.294 3.849 3.152
1.154 1.581 2.794
1.262 3.249 0.997
2.683 3.398 2.880
3.856 1.414 2.207
4.108 3.375 0.879
5.091 3.375 3.013
5.343 1.414 0.072
6.516 3.398 0.745
7.937 3.249 3.131
8.046 1.581 0.659
8.906 3.849 1.017
9.493 0.595 3.152
10.353 2.864 2.794
10.462 1.196 0.997
11.883 1.046 2.880
13.056 3.030 2.207
13.308 1.069 0.879
14.291 1.069 3.013
14.543 3.030 0.072
15.716 1.046 0.745
17.137 1.196 3.131
17.246 2.864 0.659
18.105 0.595 1.017
```

Peak list (12 most intense, 10° ≤ 2θ ≤ 90°, low angle first)
| d_spacing | Rel. int. |
| --- | --- |
| 4.320 | 33 |
| 3.873 | 40 |
| 3.129 | 46 |
| 3.067 | 27 |
| 2.920 | 33 |
| 2.834 | 43 |
| 2.752 | 100 |
| 2.222 | 30 |
| 2.025 | 27 |
| 1.999 | 35 |
| 1.914 | 46 |
| 1.704 | 37 |